Starting from the GGA+U geometry in Alexandria, the powder diffractogram of Dy2FeO5 was computed for Cu Ka.
Peak positions follow from Bragg's law for the DFT cell and can differ from measured ones.

Crystal structure
```
data_Dy2FeO5
_chemical_formula_sum 'Dy8 Fe4 O20'
_space_group_name_H-M_alt 'P n m a'
_space_group_IT_number 62
_space_group_name_Hall '-P 2ac 2n'
_cell_length_a 10.404
_cell_length_b 3.708
_cell_length_c 11.281
_cell_angle_alpha 90.00
_cell_angle_beta 90.00
_cell_angle_gamma 90.00
loop_
_atom_site_label
_atom_site_fract_x
_atom_site_fract_y
_atom_site_fract_z
Dy1 0.101 0.250 0.221
Dy2 0.136 0.250 0.558
Fe1 0.186 0.250 0.878
O1 0.012 0.750 0.602
O2 0.015 0.250 0.833
O3 0.218 0.250 0.041
O4 0.238 0.750 0.226
O5 0.248 0.750 0.881
```

Peak list (12 most intense, 5 to 70 degrees two-theta, in order of rising 2θ)
| 2θ/deg | d (Å) | I/Imax | h k l |
| --- | --- | --- | --- |
| 11.57 | 7.648 | 24.1 | 1 0 1 |
| 25.19 | 3.535 | 26.4 | 1 0 3 |
| 29.31 | 3.048 | 73.5 | 2 0 3 |
| 29.58 | 3.020 | 100.0 | 2 1 0 |
| 30.25 | 2.954 | 13.7 | 3 0 2 |
| 33.95 | 2.640 | 38.5 | 0 1 3 |
| 35.06 | 2.559 | 13.0 | 1 1 3 |
| 49.16 | 1.853 | 53.0 | 0 2 0 |
| 49.25 | 1.850 | 14.4 | 1 0 6 |
| 55.49 | 1.656 | 18.4 | 1 1 6 |
| 58.25 | 1.584 | 21.1 | 2 2 3 |
| 61.41 | 1.510 | 13.6 | 4 2 0 |